# 1
Structure and calculated X-ray powder pattern of LiMo2 (a structure optimized by DFT (GGA-PBE); copper Kα).
Neutral-atom scattering factors, no anomalous dispersion.

Structural model:
```
LiMo2
1.0
2.5378 0.0000 0.0000
0.0000 4.4515 0.0000
0.0000 0.0000 8.0398
Li Mo
2 4
direct
0.0000 0.0000 0.0000
0.5000 0.5000 0.5000
0.0000 0.0000 0.3342
0.0000 0.0000 0.6658
0.5000 0.5000 0.1658
0.5000 0.5000 0.8342
```

Most intense lines, 2θ = 10–80°, in order of rising 2θ:
22.11°, I = 47
22.83°, I = 92
37.15°, I = 25
39.24°, I = 100
40.53°, I = 46
40.93°, I = 88
47.01°, I = 24
49.46°, I = 50
65.79°, I = 42
72.86°, I = 16

---

# 2
Structure and calculated X-ray powder pattern of Na2SiH5 (a structure optimized by DFT (GGA-PBE); copper Kα).
Neutral-atom scattering factors, no anomalous dispersion.

Structural model:
```
Na2SiH5
1.0
6.6790 0.0000 0.0000
0.0000 7.2847 0.0000
-3.3102 0.0000 3.6405
Na Si H
4 2 10
direct
0.0000 0.2493 0.0000
0.0000 0.7507 0.0000
0.5000 0.2507 0.0000
0.5000 0.7493 0.0000
0.0067 0.5000 0.5001
0.5067 0.0000 0.5001
0.0088 0.2718 0.5004
0.0088 0.7282 0.5004
0.2369 0.5000 0.9568
0.2775 0.0000 0.5032
0.2810 0.0000 0.0440
0.5088 0.2282 0.5004
0.5088 0.7718 0.5004
0.7369 0.0000 0.9568
0.7775 0.5000 0.5032
0.7810 0.5000 0.0440
```

Most intense lines, 2θ = 10–80°, in order of rising 2θ:
21.73°, I = 61
21.85°, I = 62
34.84°, I = 100
36.36°, I = 48
36.50°, I = 94
36.66°, I = 47
41.41°, I = 18
50.10°, I = 42
63.41°, I = 34
66.96°, I = 18

---

# 3
Structure and calculated X-ray powder pattern of Sm12Ho6Zr (a structure optimized by DFT (GGA-PBE); copper Kα).
Neutral-atom scattering factors, no anomalous dispersion.

Structural model:
```
Sm12Ho6Zr
1.0
7.7771 4.4901 2.9138
-7.7771 4.4901 2.9138
0.0000 -8.9803 2.9138
Sm Ho Zr
12 6 1
direct
0.0562 0.5828 0.3727
0.1028 0.1544 0.7419
0.1544 0.7419 0.1028
0.2581 0.8972 0.8456
0.3727 0.0562 0.5828
0.4172 0.6273 0.9438
0.5828 0.3727 0.0562
0.6273 0.9438 0.4172
0.7419 0.1028 0.1544
0.8456 0.2581 0.8972
0.8972 0.8456 0.2581
0.9438 0.4172 0.6273
0.2091 0.3111 0.4644
0.3111 0.4644 0.2091
0.4644 0.2091 0.3111
0.5356 0.7909 0.6889
0.6889 0.5356 0.7909
0.7909 0.6889 0.5356
0.0000 0.0000 0.0000
```

Most intense lines, 2θ = 10–80°, in order of rising 2θ:
30.69°, I = 100
35.58°, I = 50
51.20°, I = 36
60.88°, I = 42
63.90°, I = 12
75.33°, I = 6

---

# 4
Structure and calculated X-ray powder pattern of Hf2Sc7 (a structure optimized by DFT (GGA-PBE); copper Kα).
Neutral-atom scattering factors, no anomalous dispersion.

Structural model:
```
Hf2Sc7
1.0
5.5695 0.0000 0.0000
-2.7847 4.8233 0.0000
0.0000 0.0000 7.9545
Hf Sc
2 7
direct
0.3333 0.6667 0.0000
0.6667 0.3333 0.0000
0.0000 0.0000 0.0000
0.0000 0.3375 0.6754
0.0000 0.6625 0.3246
0.3375 0.0000 0.6754
0.3375 0.3375 0.3246
0.6625 0.0000 0.3246
0.6625 0.6625 0.6754
```

Most intense lines, 2θ = 10–80°, in order of rising 2θ:
11.12°, I = 65
18.39°, I = 16
21.55°, I = 20
32.14°, I = 16
33.81°, I = 30
34.11°, I = 100
39.50°, I = 69
56.90°, I = 21
57.31°, I = 19
68.22°, I = 21